Starting from a structure optimized by DFT (GGA-PBE), the powder diffractogram of Pm6SmDyY2 was simulated for Cu Kα (weighted mean of Kα1 and Kα2).
Kinematic intensities with the Lorentz-polarization factor, no thermal factor.

Most intense lines, 2θ = 15–90°, sorted by position:
d [Å], Rel. int.
3.201, 29
3.175, 74
2.989, 100
2.932, 87
2.919, 98
2.900, 75
2.875, 70
2.802, 38
2.654, 62
2.602, 39

Cell and atoms:
Unit cell a=9.358 b=15.260 c=9.587 alpha=90.00 beta=96.28 gamma=90.00
Space group C2/c (No. 15)
Asymmetric unit:
Pm (0.062, 0.177, 0.443) (multiplicity 8)
Pm (0.095, 0.388, 0.617) (multiplicity 8)
Pm (0.215, 0.224, 0.814) (multiplicity 8)
Sm (0.000, 0.032, 0.750) (multiplicity 4)
Dy (0.000, 0.410, 0.250) (multiplicity 4)
Y (0.249, 0.452, 0.951) (multiplicity 8)

Starting from a structure optimized by DFT (GGA-PBE), the powder diffractogram of PmSm2Dy2Y6 was simulated for Cu Kα (weighted mean of Kα1 and Kα2).
Kinematic intensities with the Lorentz-polarization factor, no thermal factor.

Most intense lines, 2θ = 15–90°, sorted by position:
d [Å], Rel. int.
2.921, 27
2.900, 22
2.856, 38
2.795, 100
2.657, 19
2.035, 16
1.945, 16
1.737, 10
1.495, 15
1.484, 12

Cell and atoms:
Unit cell a=5.711 b=12.057 c=10.628 alpha=90.00 beta=90.06 gamma=90.00
Space group C2/m (No. 12)
Asymmetric unit:
Pm (0.000, 0.000, 0.000) (multiplicity 2)
Sm (0.000, 0.366, 0.500) (multiplicity 4)
Dy (0.000, 0.295, 0.000) (multiplicity 4)
Y (0.000, 0.153, 0.292) (multiplicity 8)
Y (0.000, 0.500, 0.209) (multiplicity 4)

Starting from a structure optimized by DFT (GGA-PBE), the powder diffractogram of PmDy3Sn5 was simulated for Cu Kα (weighted mean of Kα1 and Kα2).
Kinematic intensities with the Lorentz-polarization factor, no thermal factor.

Most intense lines, 2θ = 15–90°, sorted by position:
d [Å], Rel. int.
3.189, 9
2.779, 34
2.723, 99
2.642, 100
2.135, 19
1.896, 29
1.572, 10
1.556, 27
1.500, 15
1.376, 25

Cell and atoms:
Unit cell a=9.4329 b=9.4329 c=6.3771 alpha=90.00 beta=90.00 gamma=120.00
Space group P6_3/mcm (No. 193)
Asymmetric unit:
Pm (0.0000, 0.0000, 0.0000) (multiplicity 2)
Dy (0.0000, 0.3797, 0.2500) (multiplicity 6)
Sn (0.0000, 0.2954, 0.7500) (multiplicity 6)
Sn (0.3333, 0.6667, 0.0000) (multiplicity 4)

Starting from a structure optimized by DFT (GGA-PBE), the powder diffractogram of Pm2DySn5 was simulated for Cu Kα (weighted mean of Kα1 and Kα2).
Kinematic intensities with the Lorentz-polarization factor, no thermal factor.

Most intense lines, 2θ = 15–90°, sorted by position:
d [Å], Rel. int.
3.023, 9
2.722, 100
2.569, 55
2.324, 9
2.054, 8
1.817, 15
1.624, 12
1.604, 14
1.511, 25
1.361, 10

Cell and atoms:
Unit cell a=7.269 b=7.269 c=8.217 alpha=90.00 beta=90.00 gamma=90.00
Space group I4mm (No. 107)
Asymmetric unit:
Pm (0.000, 0.500, 0.000) (multiplicity 4)
Dy (0.000, 0.000, 0.082) (multiplicity 2)
Sn (0.000, 0.000, 0.484) (multiplicity 2)
Sn (0.219, 0.219, 0.756) (multiplicity 8)

Starting from a structure optimized by DFT (GGA-PBE), the powder diffractogram of Pm3DySn2 was simulated for Cu Kα (weighted mean of Kα1 and Kα2).
Kinematic intensities with the Lorentz-polarization factor, no thermal factor.

Most intense lines, 2θ = 15–90°, sorted by position:
d [Å], Rel. int.
3.051, 100
2.900, 41
2.608, 96
2.455, 18
2.304, 61
1.804, 41
1.629, 33
1.437, 21
1.420, 19
1.382, 32

Cell and atoms:
Unit cell a=4.608 b=4.608 c=8.701 alpha=90.00 beta=90.00 gamma=90.00
Space group P-4m2 (No. 115)
Asymmetric unit:
Pm (0.000, 0.000, 0.000) (multiplicity 1)
Pm (0.000, 0.500, 0.651) (multiplicity 2)
Dy (0.500, 0.500, 0.000) (multiplicity 1)
Sn (0.000, 0.500, 0.278) (multiplicity 2)

Starting from a structure optimized by DFT (GGA-PBE), the powder diffractogram of PmDy4Sn4 was simulated for Cu Kα (weighted mean of Kα1 and Kα2).
Kinematic intensities with the Lorentz-polarization factor, no thermal factor.

Most intense lines, 2θ = 15–90°, sorted by position:
d [Å], Rel. int.
5.210, 17
3.116, 100
2.930, 56
2.518, 17
2.496, 31
2.242, 38
2.227, 16
2.203, 28
2.041, 23
1.885, 16

Cell and atoms:
Unit cell a=9.853 b=9.853 c=6.138 alpha=90.00 beta=90.00 gamma=90.00
Space group P4_2/n (No. 86, origin choice 2)
Asymmetric unit:
Pm (0.250, 0.250, 0.250) (multiplicity 2)
Dy (0.093, 0.649, 0.141) (multiplicity 8)
Sn (0.035, 0.614, 0.649) (multiplicity 8)